(1)
TmAl6Cu6: computed powder diffractogram (Cu Kα, 1.54184 Å), based on a cell relaxed with PBE.
Lines closer than 0.1° are merged.

Most intense lines, 10° ≤ 2θ ≤ 90°, in order of falling intensity:
d/Å, Position (°2θ), Rel. int.
2.168, 41.65, 100
2.193, 41.17, 73
3.065, 29.14, 61
6.096, 14.53, 53
2.142, 42.19, 41
2.159, 41.83, 37

Cell and atoms:
```
13
Lattice="-2.541 4.284 4.338 2.541 -4.284 4.338 2.541 4.284 -4.338" Properties=species:S:1:pos:R:3 pbc="T T T"
Tm 0.000 0.000 0.000
Al 2.541 0.000 1.734
Al 0.000 2.966 0.000
Al 0.000 0.000 3.023
Al 0.000 0.000 5.653
Al 0.000 5.602 0.000
Al 0.000 4.284 2.604
Cu 1.271 2.142 -2.169
Cu 1.271 -2.142 2.169
Cu 2.541 1.969 0.000
Cu -1.271 2.142 2.169
Cu 1.271 2.142 2.169
Cu 0.000 2.315 4.338
```


(2)
Tm3AlCu8: computed powder diffractogram (Cu Kα, 1.54184 Å), based on a cell relaxed with PBE.
Lines closer than 0.1° are merged.

Most intense lines, 10° ≤ 2θ ≤ 90°, in order of falling intensity:
d/Å, Position (°2θ), Rel. int.
2.181, 41.40, 100
2.557, 35.09, 51
1.392, 67.28, 23
2.087, 43.36, 18
1.476, 62.99, 14
1.277, 74.24, 12

Cell and atoms:
```
12
Lattice="2.555 1.475 8.370 -2.555 1.475 8.370 0.000 -2.950 8.370" Properties=species:S:1:pos:R:3 pbc="T T T"
Tm 0.000 0.000 0.000
Tm 0.000 0.000 3.160
Tm 0.000 0.000 15.439
Al 0.000 0.000 12.317
Cu 0.000 -1.492 5.647
Cu -1.292 0.746 5.647
Cu -1.270 -0.733 9.887
Cu 0.000 0.000 7.747
Cu 1.270 -0.733 9.887
Cu 0.000 1.466 9.887
Cu 1.292 0.746 5.647
Cu 0.000 0.000 20.332
```


(3)
Tm6Al7Cu16: computed powder diffractogram (Cu Kα, 1.54184 Å), based on a cell relaxed with PBE.
Lines closer than 0.1° are merged.

Most intense lines, 10° ≤ 2θ ≤ 90°, in order of falling intensity:
d/Å, Position (°2θ), Rel. int.
2.356, 38.20, 100
2.164, 41.74, 90
3.534, 25.20, 62
2.499, 35.94, 30
1.443, 64.60, 23
1.184, 81.29, 21

Cell and atoms:
```
29
Lattice="0.000 6.121 6.121 6.121 0.000 6.121 6.121 6.121 0.000" Properties=species:S:1:pos:R:3 pbc="T T T"
Tm 6.121 6.121 2.578
Tm 6.121 2.578 6.121
Tm 9.665 6.121 6.121
Tm 2.578 6.121 6.121
Tm 6.121 9.665 6.121
Tm 6.121 6.121 9.665
Al 3.061 3.061 0.000
Al 3.061 0.000 3.061
Al 6.121 3.061 3.061
Al 0.000 3.061 3.061
Al 3.061 6.121 3.061
Al 3.061 3.061 6.121
Al 6.121 6.121 6.121
Cu 7.604 4.639 4.639
Cu 2.113 2.113 2.113
Cu 4.008 4.008 2.113
Cu 4.008 2.113 4.008
Cu 4.639 4.639 4.639
Cu 7.604 7.604 4.639
Cu 7.604 4.639 7.604
Cu 2.113 4.008 4.008
Cu 10.129 8.234 8.234
Cu 4.639 7.604 4.639
Cu 4.639 4.639 7.604
Cu 7.604 7.604 7.604
Cu 8.234 10.129 8.234
Cu 8.234 8.234 10.129
Cu 10.129 10.129 10.129
Cu 4.639 7.604 7.604
```


(4)
UAl6Cu6: computed powder diffractogram (Cu Kα, 1.54184 Å), based on a cell relaxed with PBE.
Lines closer than 0.1° are merged.

Most intense lines, 10° ≤ 2θ ≤ 90°, in order of falling intensity:
d/Å, Position (°2θ), Rel. int.
2.207, 40.88, 100
2.533, 35.44, 75
4.418, 20.10, 72
2.186, 41.30, 35
2.179, 41.44, 31
2.752, 32.53, 29

Cell and atoms:
```
13
Lattice="0.000 6.135 6.233 2.559 0.000 6.233 2.559 6.135 0.000" Properties=species:S:1:pos:R:3 pbc="T T T"
U 0.000 0.000 0.000
Al 1.280 0.000 3.117
Al 2.559 4.619 4.835
Al 2.559 4.619 7.632
Al 1.280 6.135 3.117
Al 2.559 7.651 4.835
Al 2.559 7.651 7.632
Cu 1.280 3.067 0.000
Cu 2.559 4.024 2.196
Cu 2.559 8.246 2.196
Cu 1.280 3.067 6.233
Cu 2.559 4.024 10.271
Cu 2.559 8.246 10.271
```


(5)
UAl7Cu5: computed powder diffractogram (Cu Kα, 1.54184 Å), based on a cell relaxed with PBE.
Lines closer than 0.1° are merged.

Most intense lines, 10° ≤ 2θ ≤ 90°, in order of falling intensity:
d/Å, Position (°2θ), Rel. int.
3.098, 28.81, 100
2.196, 41.10, 91
2.202, 40.99, 90
6.196, 14.29, 79
4.397, 20.19, 52
2.190, 41.23, 40

Cell and atoms:
```
13
Lattice="-2.543 4.402 4.361 2.543 -4.402 4.361 2.543 4.402 -4.361" Properties=species:S:1:pos:R:3 pbc="T T T"
U 0.000 0.000 0.000
Al 2.543 1.823 0.064
Al 2.543 -1.348 4.308
Al 0.000 0.000 3.012
Al 2.543 1.348 4.308
Al 0.000 0.000 5.680
Al 0.000 4.402 2.419
Al 0.000 2.579 4.425
Cu 1.278 2.183 -2.162
Cu 3.807 2.183 -2.162
Cu 2.543 0.000 1.990
Cu -1.265 2.220 2.199
Cu 1.265 2.220 2.199
```


(6)
UAl6Cu6: computed powder diffractogram (Cu Kα, 1.54184 Å), based on a cell relaxed with PBE.
Lines closer than 0.1° are merged.

Most intense lines, 10° ≤ 2θ ≤ 90°, in order of falling intensity:
d/Å, Position (°2θ), Rel. int.
3.074, 29.05, 100
2.193, 41.17, 96
2.183, 41.36, 90
6.144, 14.42, 74
1.537, 60.21, 42
4.374, 20.30, 39

Cell and atoms:
```
13
Lattice="-2.535 4.310 4.380 2.535 -4.310 4.380 2.535 4.310 -4.380" Properties=species:S:1:pos:R:3 pbc="T T T"
U 0.000 0.000 0.000
Al 2.535 0.000 1.750
Al 0.000 2.983 0.000
Al 0.000 0.000 3.045
Al 0.000 0.000 5.715
Al 0.000 5.637 0.000
Al 0.000 4.310 2.631
Cu 1.267 2.155 -2.190
Cu 1.267 -2.155 2.190
Cu 2.535 1.993 0.000
Cu -1.267 2.155 2.190
Cu 1.267 2.155 2.190
Cu 0.000 2.317 4.380
```